# Sr7Br
Theoretical X-ray powder pattern, Cu Kα (weighted mean of Kα1 and Kα2). Input: a GGA-PBE-relaxed structure.
Kinematic intensities with the Lorentz-polarization factor, no thermal factor.

Crystal structure
Lattice parameters (Å, degrees): 8.340 8.340 8.340 60.00 60.00 60.00
Fractional positions:
Sr 0.000 0.000 0.000
Sr 0.000 0.000 0.500
Sr 0.000 0.500 0.000
Sr 0.000 0.500 0.500
Sr 0.500 0.000 0.000
Sr 0.500 0.000 0.500
Sr 0.500 0.500 0.000
Br 0.500 0.500 0.500

The 6 most intense peaks (2θ = 5–70°), by angle:
d/Å  I (rel.)
3.405  100
2.948  51
2.085  38
1.778  46
1.702  13
1.353  19